Structure and calculated powder XRD pattern of Li2AcNpF8 (the PBE geometry in Alexandria; a wavelength of 1.5418 Å).
Kinematic intensities with the Lorentz-polarization factor, no thermal factor.

Peak list (8 most intense, 2θ from 10° to 90°, in order of rising 2θ)
Position (°2θ)	I/Imax
18.0	100.0
27.7	78.0
27.9	26.8
37.9	36.1
41.6	16.1
43.8	26.9
45.3	26.0
55.8	25.3

Structure:
Unit cell a=7.0581 b=7.0581 c=7.0581 alpha=134.82 beta=134.82 gamma=65.81
Element x y z (fractional)
1 Li 0.0000 0.0000 0.0000
2 Li 0.7500 0.2500 0.5000
3 Ac 0.2500 0.7500 0.5000
4 Np 0.5000 0.5000 0.0000
5 F 0.1053 0.4799 0.9172
6 F 0.1936 0.0840 0.4339
7 F 0.2404 0.8064 0.8904
8 F 0.5201 0.4373 0.6254
9 F 0.5627 0.1881 0.0828
10 F 0.6500 0.7596 0.5661
11 F 0.8119 0.8947 0.3746
12 F 0.9160 0.3500 0.1096